Diffraction record for RbUCrO6. The PXRD pattern is theoretical, not measured: it uses a structure optimized by DFT (GGA+U) and Cu Kα.
Intensities are scaled so that the largest is 100.

Cell and atoms:
```
data_RbUCrO6
_chemical_formula_sum 'Rb4 U4 Cr4 O24'
_symmetry_space_group_name_H-M 'P 1 21/c 1'
_symmetry_Int_Tables_number 14
_symmetry_space_group_name_Hall '-P 2ybc'
_cell_length_a 7.221
_cell_length_b 8.418
_cell_length_c 10.601
_cell_angle_alpha 90.00
_cell_angle_beta 104.87
_cell_angle_gamma 90.00
loop_
_atom_site_label
_atom_site_type_symbol
_atom_site_fract_x
_atom_site_fract_y
_atom_site_fract_z
_atom_site_occupancy
Rb1 Rb 0.033 0.241 0.362 1
U1 U 0.489 0.020 0.177 1
Cr1 Cr 0.390 0.643 0.944 1
O1 O 0.163 0.631 0.932 1
O2 O 0.230 0.059 0.124 1
O3 O 0.252 0.019 0.765 1
O4 O 0.428 0.710 0.787 1
O5 O 0.465 0.061 0.395 1
O6 O 0.471 0.657 0.507 1
```

Top 8 peaks for 15 to 90 degrees two-theta, in order of rising 2θ:
2θ/deg  I/Imax  h k l
24.7  100  1 2 0
25.5  56  2 0 0
26.3  24  1 1 2
28.1  67  1 1 -3
28.2  48  0 1 3
28.3  32  1 2 -2
33.4  29  2 1 -3
44.5  23  3 2 0